Computed powder X-ray diffraction pattern of Li4TiCrO6 for Cu Kα, from the PBE+U geometry in the Materials Project.

The 6 most intense peaks (2θ = 10–80°), by angle:
2θ (°), d/Å, I_rel
18.34, 4.838, 100
21.16, 4.200, 36
23.62, 3.767, 25
43.41, 2.085, 38
43.59, 2.076, 76
63.53, 1.464, 29

Cell and atoms:
```
data_Li4TiCrO6
_chemical_formula_sum 'Li16 Ti4 Cr4 O24'
_cell_length_a 5.0736
_cell_length_b 8.7858
_cell_length_c 9.8140
_cell_angle_alpha 90.00
_cell_angle_beta 99.60
_cell_angle_gamma 90.00
_symmetry_space_group_name_H-M 'P -1'
_symmetry_Int_Tables_number 2
_symmetry_space_group_name_Hall '-P 1'
loop_
_atom_site_label
_atom_site_fract_x
_atom_site_fract_y
_atom_site_fract_z
Li1 0.0000 0.0000 0.0000
Li2 0.0000 0.5000 0.5000
Li3 0.0098 0.3392 0.0040
Li4 0.0107 0.1604 0.5041
Li5 0.2494 0.0018 0.7514
Li6 0.2496 0.4981 0.2513
Li7 0.4830 0.1606 0.0005
Li8 0.4832 0.3394 0.5004
Li9 0.5000 0.0000 0.5000
Li10 0.5000 0.5000 0.0000
Ti1 0.2563 0.6682 0.7399
Ti2 0.2568 0.8324 0.2399
Cr1 0.2394 0.1652 0.2497
Cr2 0.2393 0.3348 0.7499
O1 0.0995 0.6776 0.3606
O2 0.0991 0.8227 0.8604
O3 0.1052 0.1772 0.8652
O4 0.1053 0.3227 0.3651
O5 0.1491 0.0042 0.3639
O6 0.1497 0.4963 0.8642
O7 0.3580 0.5015 0.6323
O8 0.3581 0.9989 0.1322
O9 0.3872 0.3184 0.1404
O10 0.3879 0.1812 0.6402
O11 0.3958 0.6755 0.1360
O12 0.3967 0.8248 0.6363
```


Computed powder X-ray diffraction pattern of Li3TiCr2O6 for Cu Kα, from the PBE+U geometry in the Materials Project.

The 6 most intense peaks (2θ = 10–80°), by angle:
2θ (°), d/Å, I_rel
18.11, 4.897, 100
35.53, 2.527, 27
42.95, 2.106, 57
43.04, 2.102, 28
56.64, 1.625, 14
62.19, 1.493, 15

Cell and atoms:
```
data_Li3TiCr2O6
_chemical_formula_sum 'Li6 Ti2 Cr4 O12'
_cell_length_a 2.9573
_cell_length_b 5.9840
_cell_length_c 12.9691
_cell_angle_alpha 77.11
_cell_angle_beta 89.98
_cell_angle_gamma 89.92
_symmetry_space_group_name_H-M 'P -1'
_symmetry_Int_Tables_number 2
_symmetry_space_group_name_Hall '-P 1'
loop_
_atom_site_label
_atom_site_fract_x
_atom_site_fract_y
_atom_site_fract_z
Li1 0.2500 0.0872 0.0818
Li2 0.2501 0.4109 0.4190
Li3 0.2500 0.7487 0.7499
Ti1 0.2493 0.2467 0.7475
Cr1 0.2497 0.5820 0.0836
Cr2 0.2496 0.9169 0.4163
O1 0.2488 0.5153 0.2450
O2 0.2501 0.3182 0.5861
O3 0.2498 0.6468 0.9229
O4 0.2502 0.8546 0.5771
O5 0.2509 0.1866 0.9110
O6 0.2521 0.9920 0.2539
```